Structure and theoretical powder XRD pattern of Ho3NiTeCl (the GGA-PBE geometry in Alexandria; a wavelength of 1.5418 Å).
Peak positions follow from Bragg's law for the DFT cell and can differ from measured ones.

Most intense lines, 15° ≤ 2θ ≤ 90°, low angle first:
2θ 26.80, I 17.0, (1 1 1)
2θ 27.90, I 20.3, (0 0 3)
2θ 28.67, I 25.1, (1 0 -3)
2θ 28.99, I 21.4, (0 1 2)
2θ 30.97, I 100.0, (2 1 0)
2θ 34.87, I 36.9, (2 1 -2)
2θ 38.55, I 18.4, (1 1 3)
2θ 39.53, I 15.8, (3 0 2)
2θ 40.28, I 20.4, (2 1 -3)
2θ 45.12, I 25.0, (0 2 0)

Cell and atoms:
a = 8.363 Å, b = 4.019 Å, c = 9.665 Å
α = 90.00°, β = 96.96°, γ = 90.00°
Fractional positions:
Ho (0.132, 0.250, 0.320)
Ho (0.142, 0.250, 0.899)
Ho (0.296, 0.750, 0.617)
Ho (0.704, 0.250, 0.383)
Ho (0.858, 0.750, 0.101)
Ho (0.868, 0.750, 0.680)
Ni (0.057, 0.250, 0.598)
Ni (0.943, 0.750, 0.402)
Te (0.412, 0.750, 0.318)
Te (0.588, 0.250, 0.682)
Cl (0.355, 0.750, 0.914)
Cl (0.645, 0.250, 0.086)